For VRe2O9, a structure optimized by DFT (GGA+U) gives the simulated powder diffraction line list in this record (Cu Kα, 1.54184 Å).
Neutral-atom scattering factors, no anomalous dispersion.

The 8 most intense peaks (2θ from 5° to 70°), by angle:
2θ/deg, d [Å], intensity
19.05, 4.658, 62
19.44, 4.567, 29
22.70, 3.917, 100
23.31, 3.816, 100
25.28, 3.523, 87
25.52, 3.491, 46
30.87, 2.896, 36
38.66, 2.329, 29

Structural model:
a = 8.151 Å, b = 8.151 Å, c = 9.134 Å
α = 90.00°, β = 90.00°, γ = 138.37°
Atoms (fractional coordinates):
V 0.121 0.879 0.500
V 0.879 0.121 0.000
Re 0.228 0.772 0.906
Re 0.483 0.517 0.592
Re 0.517 0.483 0.092
Re 0.772 0.228 0.406
O 0.035 0.460 0.952
O 0.069 0.931 0.346
O 0.134 0.866 0.010
O 0.198 0.802 0.721
O 0.199 0.300 0.103
O 0.300 0.199 0.603
O 0.407 0.593 0.732
O 0.427 0.573 0.428
O 0.460 0.035 0.452
O 0.540 0.965 0.952
O 0.573 0.427 0.928
O 0.593 0.407 0.232
O 0.700 0.801 0.103
O 0.801 0.700 0.603
O 0.802 0.198 0.221
O 0.866 0.134 0.510
O 0.931 0.069 0.846
O 0.965 0.540 0.452